Structure and theoretical powder diffraction line list of YSc4Ga4 (a GGA-PBE-relaxed structure; Cu Kα X-rays).
Intensities are scaled so that the largest is 100.

Cell lengths 8.838, 8.838, 5.529 Å; angles 90.00, 90.00, 90.00 degrees
Space group P4_2/n (No. 86, origin choice 2)
Unique sites:
Y 0.250 0.250 0.250 [2 per cell]
Sc 0.087 0.649 0.131 [8 per cell]
Ga 0.037 0.609 0.635 [8 per cell]

Top 10 peaks for 2θ from 15° to 90°, by angle:
18.93 deg, I 41.4, (1 0 1); 27.75 deg, I 18.4, (1 2 1); 32.02 deg, I 100.0, (1 3 0); 33.98 deg, I 42.0, (1 0 2); 39.79 deg, I 22.1, (1 2 2); 40.25 deg, I 28.1, (2 3 1); 44.97 deg, I 36.0, (3 0 2); 45.38 deg, I 23.1, (4 1 1); 45.92 deg, I 25.3, (4 2 0); 49.71 deg, I 26.7, (3 2 2)

=====

Structure and theoretical powder diffraction line list of Sc2ZnGa6 (a GGA-PBE-relaxed structure; Cu Kα X-rays).
Intensities are scaled so that the largest is 100.

Cell lengths 7.266, 14.365, 3.221 Å; angles 90.00, 90.00, 90.00 degrees
Space group Cmmm (No. 65)
Unique sites:
Sc 0.000 0.190 0.000 [4 per cell]
Zn 0.000 0.500 0.500 [2 per cell]
Ga 0.183 0.342 0.500 [8 per cell]
Ga 0.192 0.000 0.000 [4 per cell]

Top 10 peaks for 2θ from 15° to 90°, by angle:
31.00 deg, I 72.5, (1 1 1); 37.55 deg, I 100.0, (0 6 0); 39.44 deg, I 78.5, (2 2 1); 41.80 deg, I 98.9, (3 3 0); 44.03 deg, I 30.1, (1 5 1); 45.32 deg, I 54.9, (2 4 1); 47.37 deg, I 19.0, (3 1 1); 57.20 deg, I 23.3, (0 0 2); 70.47 deg, I 21.8, (0 6 2); 73.30 deg, I 34.7, (3 3 2)

=====

Structure and theoretical powder diffraction line list of Sc2Zn2Ga (a GGA-PBE-relaxed structure; Cu Kα X-rays).
Intensities are scaled so that the largest is 100.

Cell lengths 6.713, 6.713, 4.110 Å; angles 90.00, 90.00, 90.00 degrees
Space group P4/mbm (No. 127)
Unique sites:
Sc 0.170 0.330 0.000 [4 per cell]
Zn 0.130 0.630 0.500 [4 per cell]
Ga 0.000 0.000 0.500 [2 per cell]

Top 10 peaks for 2θ from 15° to 90°, by angle:
21.62 deg, I 26.7, (0 0 1); 34.50 deg, I 26.7, (2 0 1); 37.08 deg, I 100.0, (2 1 1); 42.59 deg, I 42.5, (3 1 0); 44.07 deg, I 26.8, (0 0 2); 48.25 deg, I 18.7, (3 1 1); 54.08 deg, I 10.0, (3 2 1); 62.95 deg, I 26.8, (3 1 2); 75.89 deg, I 11.0, (5 1 1); 76.42 deg, I 11.0, (2 1 3)

=====

Structure and theoretical powder diffraction line list of Sc4ZnGa3 (a GGA-PBE-relaxed structure; Cu Kα X-rays).
Intensities are scaled so that the largest is 100.

Cell lengths 4.7394, 4.7394, 23.2140 Å; angles 90.00, 90.00, 120.00 degrees
Space group R-3m (No. 166, hexagonal axes)
Unique sites:
Sc 0.0000 0.0000 0.1246 [6 per cell]
Sc 0.0000 0.0000 0.3747 [6 per cell]
Zn 0.0000 0.0000 0.5000 [3 per cell]
Ga 0.0000 0.0000 0.0000 [3 per cell]
Ga 0.0000 0.0000 0.2473 [6 per cell]

Top 8 peaks for 2θ from 15° to 90°, by angle:
26.60 deg, I 7.0, (1 0 4); 37.97 deg, I 100.0, (1 1 0); 46.96 deg, I 2.3, (0 2 4); 54.79 deg, I 16.2, (2 0 8); 61.92 deg, I 3.0, (2 1 4); 68.60 deg, I 31.4, (3 0 0); 81.19 deg, I 9.5, (2 2 0); 87.29 deg, I 1.5, (1 3 4)

=====

Structure and theoretical powder diffraction line list of ScZn2Ga (a GGA-PBE-relaxed structure; Cu Kα X-rays).
Intensities are scaled so that the largest is 100.

Cell lengths 3.281, 19.198, 4.367 Å; angles 90.00, 90.00, 90.00 degrees
Space group Cmcm (No. 63)
Unique sites:
Sc 0.000 0.100 0.250 [4 per cell]
Zn 0.000 0.267 0.750 [4 per cell]
Zn 0.000 0.471 0.250 [4 per cell]
Ga 0.000 0.342 0.250 [4 per cell]

Top 10 peaks for 2θ from 15° to 90°, by angle:
27.58 deg, I 28.4, (1 1 0); 36.01 deg, I 42.5, (1 5 0); 37.04 deg, I 100.0, (1 3 1); 41.35 deg, I 48.5, (0 0 2); 41.70 deg, I 16.4, (1 5 1); 43.01 deg, I 75.4, (0 8 1); 47.99 deg, I 28.7, (1 7 1); 56.01 deg, I 41.0, (2 0 0); 72.00 deg, I 17.0, (2 0 2); 73.17 deg, I 27.4, (2 8 1)

=====

Structure and theoretical powder diffraction line list of ScZnGa6 (a GGA-PBE-relaxed structure; Cu Kα X-rays).
Intensities are scaled so that the largest is 100.

Cell lengths 6.554, 9.981, 4.405 Å; angles 90.00, 90.00, 90.00 degrees
Space group Cmmm (No. 65)
Unique sites:
Sc 0.000 0.000 0.000 [2 per cell]
Zn 0.000 0.500 0.000 [2 per cell]
Ga 0.000 0.209 0.500 [4 per cell]
Ga 0.207 0.500 0.500 [4 per cell]
Ga 0.250 0.250 0.000 [4 per cell]

Top 10 peaks for 2θ from 15° to 90°, by angle:
30.12 deg, I 10.4, (1 3 0); 35.99 deg, I 27.0, (0 4 0); 38.71 deg, I 100.0, (2 2 1); 40.98 deg, I 24.6, (0 0 2); 55.66 deg, I 14.7, (0 4 2); 56.13 deg, I 7.0, (4 0 0); 66.51 deg, I 11.0, (2 6 1); 71.80 deg, I 7.2, (4 0 2); 73.13 deg, I 14.2, (2 2 3); 83.02 deg, I 6.9, (4 4 2)